# 1
Structure and calculated powder diffractogram of Ca5Zn4Sn (a crystal structure in Alexandria, relaxed with PBE; Cu Kα X-rays).

Largest 12 diffraction maxima, in order of rising 2θ, 5° ≤ 2θ ≤ 70°:
two_theta, I/Imax
23.6, 6
24.1, 12
30.8, 4
34.1, 100
34.4, 50
42.2, 6
48.4, 8
49.5, 17
54.8, 3
55.5, 3
60.7, 16
61.4, 34

Atomic structure:
```
Ca5Zn4Sn
1.0
3.686 0.000 0.000
0.000 3.686 0.000
0.000 0.000 18.813
Ca Zn Sn
5 4 1
Direct
0.000 0.000 0.000
0.000 0.000 0.195
0.000 0.000 0.390
0.000 0.000 0.610
0.000 0.000 0.805
0.500 0.500 0.097
0.500 0.500 0.291
0.500 0.500 0.709
0.500 0.500 0.903
0.500 0.500 0.500
```

***

# 2
Structure and calculated powder diffractogram of Pm3Dy5Sn2 (a crystal structure in Alexandria, relaxed with PBE; Cu Kα X-rays).

Largest 12 diffraction maxima, in order of rising 2θ, 5° ≤ 2θ ≤ 70°:
two_theta, I/Imax
22.8, 9
26.1, 14
27.6, 9
30.1, 100
34.4, 14
34.9, 27
36.2, 29
39.8, 38
53.6, 14
53.9, 13
57.5, 12
66.3, 20

Atomic structure:
```
Pm3Dy5Sn2
1.0
-6.413 7.813 3.206
6.413 -7.813 3.206
6.413 7.813 -3.206
Pm Dy Sn
6 10 4
Direct
0.222 0.127 0.349
0.250 0.250 0.000
0.278 0.627 0.905
0.722 0.373 0.095
0.750 0.750 0.000
0.778 0.873 0.651
0.164 0.400 0.565
0.250 0.503 0.253
0.250 0.750 0.500
0.250 0.997 0.747
0.336 0.900 0.236
0.664 0.100 0.764
0.750 0.003 0.253
0.750 0.250 0.500
0.750 0.497 0.747
0.836 0.600 0.435
0.148 0.859 0.007
0.352 0.359 0.712
0.648 0.641 0.288
0.852 0.141 0.993
```

***

# 3
Structure and calculated powder diffractogram of U2Co6Si (a crystal structure in Alexandria, relaxed with PBE; Cu Kα X-rays).

Largest 12 diffraction maxima, in order of rising 2θ, 5° ≤ 2θ ≤ 70°:
two_theta, I/Imax
20.3, 17
26.0, 70
32.6, 33
35.5, 27
38.7, 37
41.2, 20
44.5, 100
49.0, 14
53.5, 16
54.3, 15
58.2, 19
65.9, 14

Atomic structure:
```
U2Co6Si
1.0
5.057 0.000 0.000
-2.529 4.380 0.000
0.000 0.000 5.495
U Co Si
2 6 1
Direct
0.333 0.667 0.290
0.667 0.333 0.710
0.171 0.341 0.817
0.171 0.829 0.817
0.341 0.171 0.183
0.659 0.829 0.817
0.829 0.171 0.183
0.829 0.659 0.183
0.000 0.000 0.500
```

***

# 4
Structure and calculated powder diffractogram of H4Pd6Au (a crystal structure in Alexandria, relaxed with PBE; Cu Kα X-rays).

Largest 12 diffraction maxima, in order of rising 2θ, 5° ≤ 2θ ≤ 70°:
two_theta, I/Imax
15.7, 19
22.2, 15
27.0, 18
38.5, 16
38.8, 100
39.4, 39
39.6, 40
39.8, 41
44.4, 35
45.3, 19
51.8, 16
66.3, 17

Atomic structure:
```
H4Pd6Au
1.0
4.078 0.000 0.000
0.000 11.273 0.000
-0.031 0.000 5.685
H Pd Au
8 12 2
Direct
0.079 0.107 0.268
0.079 0.393 0.268
0.365 0.040 0.889
0.365 0.460 0.889
0.635 0.540 0.111
0.635 0.960 0.111
0.921 0.607 0.732
0.921 0.893 0.732
0.000 0.000 0.500
0.000 0.500 0.500
0.003 0.750 0.591
0.497 0.113 0.166
0.497 0.387 0.166
0.500 0.130 0.666
0.500 0.370 0.666
0.500 0.630 0.334
0.500 0.870 0.334
0.503 0.613 0.834
0.503 0.887 0.834
0.997 0.250 0.409
0.006 0.750 0.087
0.994 0.250 0.913
```

***

# 5
Structure and calculated powder diffractogram of BaThPdS4 (a crystal structure in Alexandria, relaxed with PBE; Cu Kα X-rays).

Largest 12 diffraction maxima, in order of rising 2θ, 5° ≤ 2θ ≤ 70°:
two_theta, I/Imax
11.7, 24
19.8, 20
25.6, 58
25.9, 100
28.0, 46
35.0, 22
35.2, 58
36.8, 19
38.3, 66
45.3, 30
48.2, 19
51.6, 27

Atomic structure:
```
BaThPdS4
1.0
3.189 -7.596 0.000
3.189 7.596 0.000
0.000 0.000 6.955
Ba Th Pd S
2 2 2 8
Direct
0.104 0.896 0.750
0.896 0.104 0.250
0.369 0.631 0.750
0.631 0.369 0.250
0.249 0.751 0.250
0.751 0.249 0.750
0.000 0.500 0.000
0.000 0.500 0.500
0.090 0.910 0.250
0.450 0.550 0.250
0.500 0.000 0.000
0.500 0.000 0.500
0.550 0.450 0.750
0.910 0.090 0.750
```